This entry pairs a crystal structure of La16Dy6Er7 with its computed powder diffractogram. Radiation: Cu Kα, 1.54184 Å. Structure: a GGA-PBE-relaxed structure.

The 6 most intense peaks (2θ = 5–70°), by intensity:
(4 4 0), d 2.862, 31.25 deg, intensity 100; (8 4 4), d 1.652, 55.62 deg, intensity 30; (8 0 0), d 2.024, 44.78 deg, intensity 16; (8 8 0), d 1.431, 65.19 deg, intensity 9; (4 2 2), d 3.305, 26.98 deg, intensity 6; (2 2 0), d 5.724, 15.48 deg, intensity 5

Cell and atoms:
```
data_La16Dy6Er7
_chemical_formula_sum 'La64 Dy24 Er28'
_cell_length_a 16.191
_cell_length_b 16.191
_cell_length_c 16.191
_cell_angle_alpha 90.00
_cell_angle_beta 90.00
_cell_angle_gamma 90.00
_space_group_name_H-M_alt 'F m -3 m'
_space_group_IT_number 225
_space_group_name_Hall '-F 4 2 3'
loop_
_atom_site_label
_atom_site_type_symbol
_atom_site_fract_x
_atom_site_fract_y
_atom_site_fract_z
_atom_site_occupancy
La1 La 0.125 0.125 0.125 1
La2 La 0.148 0.148 0.352 1
Dy1 Dy 0.000 0.000 0.259 1
Er1 Er 0.000 0.000 0.000 1
Er2 Er 0.000 0.250 0.250 1
```